This entry pairs a crystal structure of TbZnSi with its calculated powder XRD pattern. Radiation: CuKα. Structure: a cell relaxed with GGA-PBE.
Intensities are scaled so that the largest is 100.

The 10 most intense peaks (2θ = 10–90°), in order of falling intensity:
2θ 33.4, rel. 100, (1 0 1)
2θ 43.9, rel. 35, (1 1 0)
2θ 24.9, rel. 30, (1 0 0)
2θ 56.2, rel. 22, (2 0 1)
2θ 64.3, rel. 22, (1 1 2)
2θ 73.9, rel. 20, (2 1 1)
2θ 44.6, rel. 11, (0 0 2)
2θ 74.9, rel. 9, (1 0 3)
2θ 51.7, rel. 9, (1 0 2)
2θ 80.7, rel. 6, (3 0 0)

Structure:
```
3
Lattice="4.1266 0.0000 0.0000 -2.0633 3.5738 0.0000 0.0000 0.0000 4.0674" Properties=species:S:1:pos:R:3 pbc="T T T"
Tb 0.0000 0.0000 0.0000
Zn 0.0000 2.3825 2.0337
Si 2.0633 1.1912 2.0337
```